For NpTl3I6, a crystal structure in Alexandria, relaxed with PBE gives the calculated powder diffraction line list in this record (copper Kα).
Kinematic intensities with the Lorentz-polarization factor, no thermal factor.

Principal peaks in the range 2θ = 5–70°, by intensity:
index  2θ/deg  d [Å]  I (rel.)
2 0 2  20.5  4.325  100
0 4 0  28.2  3.164  66
2 2 4  31.6  2.833  59
2 4 2  35.2  2.552  51
0 2 2  17.8  4.977  30
0 2 4  26.2  3.400  22
4 0 0  35.0  2.562  22
4 4 0  45.6  1.990  21
2 4 6  47.8  1.902  17
2 0 6  37.8  2.381  16

Structure:
Cell lengths 10.247, 12.647, 16.133 Å; angles 90.00, 90.00, 90.00 degrees
Space group Fmmm (No. 69)
Symmetry-distinct sites (fractional):
Np 0.000 0.000 0.000
Tl 0.000 0.000 0.500
Tl 0.250 0.250 0.250
I 0.000 0.240 0.000
I 0.223 0.000 0.133